[1]
Computed PXRD pattern of Zr2Co4P3 for λ = 1.5418 Å (Cu Kα), from a PBE-relaxed structure.
Kinematic intensities with the Lorentz-polarization factor, no thermal factor.

Structural model:
```
data_Zr2Co4P3
_chemical_formula_sum 'Zr8 Co16 P12'
_cell_length_a 12.1168
_cell_length_b 12.1168
_cell_length_c 3.6747
_cell_angle_alpha 90.00
_cell_angle_beta 90.00
_cell_angle_gamma 120.00
_symmetry_space_group_name_H-M 'P -6 2 m'
_symmetry_Int_Tables_number 189
_symmetry_space_group_name_Hall 'P -6 -2'
loop_
_atom_site_label
_atom_site_type_symbol
_atom_site_fract_x
_atom_site_fract_y
_atom_site_fract_z
Zr1 Zr 0.0000 0.1762 0.0000
Zr2 Zr 0.0000 0.5563 0.5000
Zr3 Zr 0.3333 0.6667 0.5000
Co1 Co 0.0000 0.0000 0.5000
Co2 Co 0.0000 0.7212 0.0000
Co3 Co 0.1263 0.4805 0.0000
Co4 Co 0.1802 0.8065 0.5000
P1 P 0.0000 0.3447 0.5000
P2 P 0.0000 0.8239 0.5000
P3 P 0.1733 0.6915 0.0000
```

The 10 most intense peaks (2θ = 10–90°), in order of falling intensity:
hkl 2 2 1, 2.337 Å, 38.5 deg, intensity 100
hkl 3 1 1, 2.281 Å, 39.5 deg, intensity 33
hkl 0 0 2, 1.837 Å, 49.6 deg, intensity 24
hkl 6 0 0, 1.749 Å, 52.3 deg, intensity 19
hkl 6 0 2, 1.267 Å, 75.0 deg, intensity 13
hkl 4 1 0, 2.290 Å, 39.3 deg, intensity 13
hkl 5 1 0, 1.885 Å, 48.3 deg, intensity 10
hkl 5 5 0, 1.211 Å, 79.1 deg, intensity 9
hkl 4 1 1, 1.943 Å, 46.7 deg, intensity 9
hkl 5 0 1, 1.822 Å, 50.1 deg, intensity 9

***

[2]
Computed PXRD pattern of Ta2Tl4O7 for λ = 1.5418 Å (Cu Kα), from a PBE-relaxed structure.
Kinematic intensities with the Lorentz-polarization factor, no thermal factor.

Structural model:
```
data_Ta2Tl4O7
_chemical_formula_sum 'Ta2 Tl4 O7'
_cell_length_a 6.1391
_cell_length_b 6.1391
_cell_length_c 7.8695
_cell_angle_alpha 90.00
_cell_angle_beta 90.00
_cell_angle_gamma 120.00
_symmetry_space_group_name_H-M 'P -3 m 1'
_symmetry_Int_Tables_number 164
_symmetry_space_group_name_Hall '-P 3 2"'
loop_
_atom_site_label
_atom_site_type_symbol
_atom_site_fract_x
_atom_site_fract_y
_atom_site_fract_z
Ta1 Ta 0.0000 0.0000 0.2442
Tl1 Tl 0.3333 0.6667 0.0992
Tl2 Tl 0.3333 0.6667 0.5780
O1 O 0.0000 0.0000 0.0000
O2 O 0.1651 0.3302 0.3162
```

The 10 most intense peaks (2θ = 10–90°), in order of falling intensity:
hkl 1 0 2, 3.163 Å, 28.2 deg, intensity 100
hkl 1 1 0, 3.070 Å, 29.1 deg, intensity 95
hkl 0 2 2, 2.203 Å, 41.0 deg, intensity 41
hkl 2 1 2, 1.790 Å, 51.0 deg, intensity 40
hkl 0 1 4, 1.845 Å, 49.4 deg, intensity 23
hkl 3 0 0, 1.772 Å, 51.6 deg, intensity 20
hkl 1 2 4, 1.406 Å, 66.5 deg, intensity 19
hkl 1 3 2, 1.381 Å, 67.9 deg, intensity 17
hkl 2 2 0, 1.535 Å, 60.3 deg, intensity 15
hkl 2 0 4, 1.581 Å, 58.4 deg, intensity 12

***

[3]
Computed PXRD pattern of BaCu3S4 for λ = 1.5418 Å (Cu Kα), from a PBE-relaxed structure.
Kinematic intensities with the Lorentz-polarization factor, no thermal factor.

Structural model:
```
data_BaCu3S4
_chemical_formula_sum 'Ba2 Cu6 S8'
_cell_length_a 6.6462
_cell_length_b 12.9827
_cell_length_c 4.3717
_cell_angle_alpha 90.00
_cell_angle_beta 90.00
_cell_angle_gamma 90.00
_symmetry_space_group_name_H-M 'C m m m'
_symmetry_Int_Tables_number 65
_symmetry_space_group_name_Hall '-C 2 2'
loop_
_atom_site_label
_atom_site_type_symbol
_atom_site_fract_x
_atom_site_fract_y
_atom_site_fract_z
Ba1 Ba 0.0000 0.0000 0.0000
Cu1 Cu 0.0000 0.2406 0.5000
Cu2 Cu 0.0000 0.5000 0.5000
S1 S 0.2333 0.3687 0.5000
```

The 10 most intense peaks (2θ = 10–90°), in order of falling intensity:
hkl 1 1 1, 3.516 Å, 25.3 deg, intensity 100
hkl 2 4 0, 2.322 Å, 38.8 deg, intensity 83
hkl 0 2 1, 3.626 Å, 24.5 deg, intensity 62
hkl 1 3 1, 2.791 Å, 32.1 deg, intensity 61
hkl 0 0 1, 4.372 Å, 20.3 deg, intensity 51
hkl 2 4 2, 1.592 Å, 57.9 deg, intensity 48
hkl 0 0 2, 2.186 Å, 41.3 deg, intensity 39
hkl 2 2 1, 2.450 Å, 36.7 deg, intensity 33
hkl 3 3 1, 1.798 Å, 50.8 deg, intensity 23
hkl 2 4 1, 2.051 Å, 44.2 deg, intensity 22